Starting from a crystal structure in Alexandria, relaxed with PBE+U, the powder diffraction line list of CsMnAsF6 was calculated for Cu Kα (weighted mean of Kα1 and Kα2).
Peak positions follow from Bragg's law for the DFT cell and can differ from measured ones.

```
data_CsMnAsF6
_chemical_formula_sum 'Cs1 Mn1 As1 F6'
_space_group_name_H-M_alt 'P 1'
_space_group_IT_number 1
_space_group_name_Hall 'P 1'
_cell_length_a 5.596
_cell_length_b 5.611
_cell_length_c 6.401
_cell_angle_alpha 90.90
_cell_angle_beta 91.04
_cell_angle_gamma 114.86
loop_
_atom_site_label
_atom_site_type_symbol
_atom_site_fract_x
_atom_site_fract_y
_atom_site_fract_z
Cs1 Cs 0.000 0.000 0.000
Mn1 Mn 0.323 0.678 0.500
As1 As 0.676 0.324 0.500
F1 F 0.041 0.432 0.701
F2 F 0.398 0.362 0.337
F3 F 0.408 0.035 0.682
F4 F 0.566 0.958 0.298
F5 F 0.638 0.599 0.664
F6 F 0.963 0.594 0.320
```

Top 8 peaks for 2θ from 15° to 90°, by intensity:
4.032 Å, 22.05 deg, intensity 100, (1 0 -1); 3.929 Å, 22.63 deg, intensity 100, (0 1 1); 3.799 Å, 23.41 deg, intensity 97, (1 -1 1); 2.791 Å, 32.07 deg, intensity 48, (2 -1 0); 2.229 Å, 40.46 deg, intensity 33, (1 1 -2); 2.091 Å, 43.28 deg, intensity 24, (-1 2 2); 2.085 Å, 43.40 deg, intensity 24, (2 -1 2); 3.199 Å, 27.89 deg, intensity 23, (0 0 2)